(1)
Diffraction record for ScFeGe2. The powder diffraction line list is simulated, not measured: it uses the PBE geometry in OQMD and Cu Kα X-rays.
Peak positions follow from Bragg's law for the DFT cell and can differ from measured ones.

Principal peaks in the range 10° ≤ 2θ ≤ 80°, sorted by position:
hkl 1 4 0, 37.12°, rel. 31.3; hkl 3 1 2, 37.95°, rel. 58.3; hkl 3 3 0, 39.84°, rel. 46.0; hkl 4 1 0, 40.17°, rel. 100.0; hkl 0 4 2, 42.46°, rel. 52.1; hkl 0 0 4, 45.11°, rel. 24.2

Atomic structure:
```
ScFeGe2
1.0
9.2104 0.0000 0.0000
0.0000 10.0410 0.0000
0.0000 0.0000 8.0388
Sc Fe Ge
12 12 24
Cartesian
1.5148 1.7878 0.0000
1.5819 4.5500 1.9407
1.5819 4.5500 6.0981
3.0233 9.5705 1.9407
3.0233 9.5705 6.0981
3.0904 6.8082 0.0000
6.1200 3.2327 0.0000
6.1871 0.4705 1.9407
6.1871 0.4705 6.0981
7.6285 5.4910 1.9407
7.6285 5.4910 6.0981
7.6957 8.2532 0.0000
0.0000 0.0000 1.9693
0.0000 0.0000 6.0695
0.7886 7.5289 2.0152
0.7886 7.5289 6.0236
3.8166 2.5084 2.0152
3.8166 2.5084 6.0236
4.6052 5.0205 1.9693
4.6052 5.0205 6.0695
5.3938 7.5326 2.0152
5.3938 7.5326 6.0236
8.4218 2.5121 2.0152
8.4218 2.5121 6.0236
0.3771 6.2659 0.0000
0.3950 6.2885 4.0194
1.1611 9.0899 4.0194
1.2015 9.0255 0.0000
1.5027 1.8171 2.7487
1.5027 1.8171 5.2901
3.1025 6.8376 2.7487
3.1025 6.8376 5.2901
3.4037 4.0050 0.0000
3.4441 4.0694 4.0194
4.2102 1.2680 4.0194
4.2281 1.2454 0.0000
4.9823 8.7956 0.0000
5.0002 8.7729 4.0194
5.7663 5.9716 4.0194
5.8067 6.0359 0.0000
6.1079 3.2034 2.7487
6.1079 3.2034 5.2901
7.7077 8.2239 2.7487
7.7077 8.2239 5.2901
8.0090 1.0154 0.0000
8.0493 0.9511 4.0194
8.8154 3.7524 4.0194
8.8334 3.7751 0.0000
```

=====

(2)
Diffraction record for FeGe2Se4. The powder diffraction line list is simulated, not measured: it uses the PBE geometry in OQMD and Cu Kα X-rays.
Peak positions follow from Bragg's law for the DFT cell and can differ from measured ones.

Principal peaks in the range 10° ≤ 2θ ≤ 80°, sorted by position:
hkl 2 1 1, 27.23°, rel. 41.1; hkl 2 0 2, 28.72°, rel. 49.3; hkl 2 2 0, 32.88°, rel. 81.8; hkl 3 2 1, 43.21°, rel. 64.3; hkl 4 0 0, 47.19°, rel. 49.1; hkl 2 2 4, 48.07°, rel. 100.0

Atomic structure:
```
FeGe2Se4
1.0
7.7039 0.0000 0.0000
0.0000 7.7039 0.0000
0.0000 0.0000 10.5294
Fe Ge Se
4 8 16
Cartesian
0.0000 1.9009 0.0000
0.0000 5.8029 5.2647
1.9009 0.0000 7.8971
5.8029 0.0000 2.6324
1.8007 1.8007 3.9485
1.8007 5.9032 1.3162
1.9756 3.8519 7.8971
3.8519 1.9756 0.0000
3.8519 5.7282 5.2647
5.7282 3.8519 2.6324
5.9032 1.8007 6.5809
5.9032 5.9032 9.2132
0.2866 1.7767 8.1503
0.2866 5.9271 7.6438
1.7461 3.6074 0.0715
1.7461 4.0964 5.1932
1.7767 0.2866 10.2762
1.7767 7.4172 5.5180
3.6074 1.7461 7.8255
3.6074 5.9577 7.9686
4.0964 1.7461 2.7039
4.0964 5.9577 2.5608
5.9271 0.2866 0.2532
5.9271 7.4172 5.0115
5.9577 3.6074 10.4579
5.9577 4.0964 5.3363
7.4172 1.7767 2.3791
7.4172 5.9271 2.8856
```

=====

(3)
Diffraction record for FeSi17Ge14. The powder diffraction line list is simulated, not measured: it uses the PBE geometry in OQMD and Cu Kα X-rays.
Peak positions follow from Bragg's law for the DFT cell and can differ from measured ones.

Principal peaks in the range 10° ≤ 2θ ≤ 80°, sorted by position:
hkl 1 0 8, 27.77°, rel. 100.0; hkl 0 2 0, 46.12°, rel. 59.3; hkl 0 0 16, 46.25°, rel. 11.8; hkl 1 2 8, 54.67°, rel. 28.4; hkl 1 1 -16, 54.79°, rel. 13.8; hkl 1 3 0, 74.25°, rel. 10.9

Atomic structure:
```
FeSi17Ge14
1.0
5.5736 0.0000 0.0000
0.0000 3.9363 0.0000
-0.0229 0.0000 31.4062
Fe Si Ge
1 17 14
Cartesian
0.0000 0.0000 0.0000
0.0042 0.0000 19.6979
1.3491 1.9681 19.6847
1.4075 1.9681 3.9408
1.4062 1.9681 11.8329
2.7907 1.9681 5.8526
2.7874 1.9681 21.5563
2.7977 1.9681 13.7307
2.7953 1.9681 29.5124
4.1294 0.0000 5.8626
4.1304 0.0000 13.7692
4.1352 0.0000 21.5873
4.1457 0.0000 29.6190
4.1871 0.0000 25.4923
4.2275 0.0000 1.8119
5.5074 0.0000 23.5260
5.5207 0.0000 7.7757
5.5196 0.0000 15.6767
0.0139 0.0000 11.8370
1.2310 1.9681 31.3852
1.3426 1.9681 7.7891
1.3430 1.9681 15.6591
1.3376 1.9681 23.4914
1.4066 1.9681 27.5388
2.7338 1.9681 9.8316
2.7297 1.9681 17.7062
2.7974 1.9681 1.9575
2.7878 1.9681 25.4939
4.1951 0.0000 9.7892
4.2029 0.0000 17.7000
5.4923 0.0000 27.5511
5.5678 0.0000 3.8855
```

=====

(4)
Diffraction record for Fe2SiGe. The powder diffraction line list is simulated, not measured: it uses the PBE geometry in OQMD and Cu Kα X-rays.
Peak positions follow from Bragg's law for the DFT cell and can differ from measured ones.

Principal peaks in the range 10° ≤ 2θ ≤ 80°, sorted by position:
hkl 1 0 0, 15.68°, rel. 5.3; hkl 1 1 1, 27.33°, rel. 2.9; hkl 2 1 0, 35.51°, rel. 6.2; hkl 2 2 0, 45.38°, rel. 100.0; hkl 3 0 0, 48.30°, rel. 2.4; hkl 4 0 0, 66.12°, rel. 15.1

Atomic structure:
```
Fe2SiGe
1.0
5.6531 0.0000 0.0000
0.0000 5.6531 0.0000
0.0000 0.0000 5.6531
Fe Si Ge
8 4 4
Cartesian
1.3850 1.3850 1.3850
1.3850 1.3850 4.2680
1.3850 4.2680 1.3850
1.3850 4.2680 4.2680
4.2680 1.3850 1.3850
4.2680 1.3850 4.2680
4.2680 4.2680 1.3850
4.2680 4.2680 4.2680
0.0000 0.0000 0.0000
0.0000 0.0000 2.8265
0.0000 2.8265 0.0000
2.8265 0.0000 0.0000
0.0000 2.8265 2.8265
2.8265 0.0000 2.8265
2.8265 2.8265 0.0000
2.8265 2.8265 2.8265
```

=====

(5)
Diffraction record for FeSi24Ge7. The powder diffraction line list is simulated, not measured: it uses the PBE geometry in OQMD and Cu Kα X-rays.
Peak positions follow from Bragg's law for the DFT cell and can differ from measured ones.

Principal peaks in the range 10° ≤ 2θ ≤ 80°, sorted by position:
hkl 1 1 0, 16.11°, rel. 4.9; hkl 1 1 -4, 28.08°, rel. 100.0; hkl 2 -2 0, 46.69°, rel. 68.9; hkl 0 2 8, 55.37°, rel. 40.9; hkl 4 4 0, 68.16°, rel. 10.8; hkl 1 5 4, 75.27°, rel. 16.3

Atomic structure:
```
FeSi24Ge7
1.0
6.7379 0.0000 0.0000
2.2433 6.3539 0.0000
0.0048 0.0137 15.5712
Fe Si Ge
1 24 7
Cartesian
0.0000 0.0000 0.0000
1.1517 3.1642 5.8015
1.1522 3.1660 9.6587
1.1528 3.1637 1.8687
2.2801 6.3446 7.7182
1.1440 3.1163 13.6176
3.3760 2.3549 1.8753
3.3812 2.3679 13.6169
3.3843 2.3608 5.8177
3.3865 2.3642 9.6347
4.5096 5.5375 7.7129
4.5626 5.5708 3.8530
3.3802 0.0240 13.6169
4.5198 3.1671 7.7271
5.6458 6.3443 5.8013
5.6610 6.3533 1.9175
4.5203 3.1265 15.5319
5.6584 6.3549 9.6096
6.7550 2.3646 7.7296
7.8767 5.5383 9.6228
7.8761 5.5368 5.8095
7.9037 5.5603 1.7959
6.7556 2.2714 15.5461
6.8101 2.4079 11.6267
6.8078 2.4020 3.8371
0.0075 0.0115 11.6071
2.2829 6.3458 3.8221
4.4196 5.5747 15.5597
4.5701 5.5775 11.6084
4.5236 3.1666 3.8412
4.5185 3.1273 11.6289
7.9024 5.5593 13.7065
```

=====

(6)
Diffraction record for FeSi29Ge2. The powder diffraction line list is simulated, not measured: it uses the PBE geometry in OQMD and Cu Kα X-rays.
Peak positions follow from Bragg's law for the DFT cell and can differ from measured ones.

Principal peaks in the range 10° ≤ 2θ ≤ 80°, sorted by position:
hkl 0 1 0, 10.33°, rel. 7.9; hkl 1 3 1, 28.30°, rel. 100.0; hkl 3 0 4, 47.06°, rel. 67.2; hkl 2 3 -3, 55.82°, rel. 39.9; hkl 0 4 -4, 68.74°, rel. 10.6; hkl 0 1 7, 75.93°, rel. 16.1

Atomic structure:
```
FeSi29Ge2
1.0
8.6415 0.0000 0.0000
3.4581 8.8035 0.0000
3.4529 2.0297 8.5686
Fe Si Ge
1 29 2
Cartesian
0.0000 0.0000 0.0000
0.8385 0.4856 2.0306
2.5994 3.2114 4.2498
5.2195 8.1497 6.4176
1.7448 2.6914 2.0994
3.4863 5.4102 4.2690
4.3561 5.9399 6.4094
6.1116 8.7306 8.5541
6.0279 7.7852 2.6618
4.3168 1.6879 4.7673
6.0832 4.4320 6.9496
4.3541 5.1087 0.5109
6.9264 8.2940 4.7910
3.4904 2.9030 0.5134
5.2095 5.5790 2.6605
6.0770 1.8703 3.1952
8.6642 6.7700 5.3270
7.8114 4.5665 5.3395
6.9498 4.0662 3.1942
5.2381 1.3900 1.0436
9.5338 7.2531 7.4711
10.4035 9.4420 7.4516
11.2552 9.1403 3.7053
9.5430 3.0395 5.8847
8.6778 4.2303 1.5767
10.4061 6.9366 3.7359
12.1293 9.6523 5.8481
11.2741 5.7329 8.0102
9.5770 6.4193 1.5946
10.4676 3.4906 8.0378
5.1355 2.1910 6.9998
7.8108 7.9555 1.0573
```